The following is a simulated powder diffractogram of MgNi4O8. It was derived from a crystal structure in the Materials Project, relaxed with PBE+U, using CuKα.
No peak broadening, texture or thermal motion is included.

Crystal structure
```
data_MgNi4O8
_symmetry_space_group_name_H-M 'P 1'
_symmetry_Int_Tables_number 1
_symmetry_space_group_name_Hall 'P 1'
_cell_length_a 5.9416
_cell_length_b 5.9416
_cell_length_c 5.9416
_cell_angle_alpha 57.36
_cell_angle_beta 57.36
_cell_angle_gamma 57.36
loop_
_atom_site_label
_atom_site_fract_x
_atom_site_fract_y
_atom_site_fract_z
Mg1 0.0000 0.0000 0.0000
Ni1 0.0000 0.0000 0.5000
Ni2 0.0000 0.5000 0.0000
Ni3 0.5000 0.0000 0.0000
Ni4 0.5000 0.5000 0.5000
O1 0.2089 0.7482 0.7482
O2 0.2307 0.2307 0.2307
O3 0.2518 0.2518 0.7911
O4 0.2518 0.7911 0.2518
O5 0.7482 0.2089 0.7482
O6 0.7482 0.7482 0.2089
O7 0.7693 0.7693 0.7693
O8 0.7911 0.2518 0.2518
```

Most intense lines, 10° ≤ 2θ ≤ 90°, in order of rising 2θ:
- 2θ 17.9, intensity 100.0
- 2θ 36.3, intensity 7.5
- 2θ 36.9, intensity 30.3
- 2θ 38.4, intensity 14.3
- 2θ 44.1, intensity 57.9
- 2θ 47.9, intensity 8.9
- 2θ 57.3, intensity 14.8
- 2θ 62.6, intensity 15.3
- 2θ 65.5, intensity 15.5
- 2θ 68.5, intensity 12.5
- 2θ 77.2, intensity 7.5
- 2θ 82.3, intensity 7.0

***

The following is a simulated powder diffractogram of VHO3. It was derived from a crystal structure in the Materials Project, relaxed with PBE+U, using CuKα.
No peak broadening, texture or thermal motion is included.

Crystal structure
```
data_VHO3
_symmetry_space_group_name_H-M 'P 1'
_symmetry_Int_Tables_number 1
_symmetry_space_group_name_Hall 'P 1'
_cell_length_a 3.7170
_cell_length_b 6.0937
_cell_length_c 13.1499
_cell_angle_alpha 90.52
_cell_angle_beta 96.43
_cell_angle_gamma 107.07
loop_
_atom_site_label
_atom_site_fract_x
_atom_site_fract_y
_atom_site_fract_z
V1 0.0000 0.0000 0.0000
V2 0.0867 0.3073 0.2959
V3 0.2942 0.5762 0.9811
V4 0.7773 0.7182 0.2946
H1 0.2513 0.3886 0.4907
H2 0.4152 0.0874 0.6185
H3 0.4441 0.9428 0.7163
H4 0.8905 0.5981 0.1104
O1 0.1213 0.2917 0.4288
O2 0.1568 0.2835 0.0469
O3 0.2238 0.6349 0.2576
O4 0.2420 0.5374 0.8586
O5 0.4651 0.9436 0.6424
O6 0.4681 0.9123 0.0229
O7 0.6036 0.3727 0.2628
O8 0.6384 0.3728 0.6363
O9 0.8359 0.7472 0.4177
O10 0.8432 0.6340 0.0377
O11 0.9129 0.9976 0.2452
O12 0.9526 0.0032 0.8764
```

Most intense lines, 10° ≤ 2θ ≤ 90°, in order of rising 2θ:
- 2θ 13.6, intensity 24.9
- 2θ 17.0, intensity 17.2
- 2θ 20.4, intensity 100.0
- 2θ 25.2, intensity 11.4
- 2θ 25.3, intensity 21.5
- 2θ 25.6, intensity 18.7
- 2θ 27.0, intensity 25.9
- 2θ 27.3, intensity 39.4
- 2θ 31.2, intensity 35.3
- 2θ 31.8, intensity 12.1
- 2θ 34.3, intensity 22.8
- 2θ 49.3, intensity 16.4